For Sc4Ga2Cu, a DFT-relaxed cell (PBE, Alexandria) gives the calculated powder diffractogram in this record (Cu Kα).
Lines closer than 0.1° are merged.

Most intense lines, 2θ from 10° to 80°, most intense first:
Position (°2θ)	I/Imax
38.5	100
38.7	98
69.7	46
55.7	32
11.7	16
70.1	15
23.3	14
22.3	12
29.5	8
45.5	8

Structure:
```
data_Sc4Ga2Cu
_chemical_formula_sum 'Sc4 Ga2 Cu1'
_cell_length_a 8.058
_cell_length_b 8.058
_cell_length_c 8.058
_cell_angle_alpha 33.73
_cell_angle_beta 33.73
_cell_angle_gamma 33.73
_symmetry_space_group_name_H-M 'P 1'
_symmetry_Int_Tables_number 1
loop_
_symmetry_equiv_pos_as_xyz
'x,y,z'
loop_
_atom_site_label
_atom_site_type_symbol
_atom_site_fract_x
_atom_site_fract_y
_atom_site_fract_z
Sc1 Sc 0.123 0.123 0.123
Sc2 Sc 0.373 0.373 0.373
Sc3 Sc 0.627 0.627 0.627
Sc4 Sc 0.877 0.877 0.877
Ga1 Ga 0.250 0.250 0.250
Ga2 Ga 0.750 0.750 0.750
Cu1 Cu 0.500 0.500 0.500
```